No. 1
# KNaPS3
Calculated powder XRD pattern, Cu Ka. Input: a crystal structure in Alexandria, relaxed with GGA-PBE.

```
KNaPS3
1.0
6.0511 -3.7264 0.0000
6.0511 3.7264 0.0000
-0.5779 0.0000 7.8886
K Na P S
2 2 2 6
Direct
0.1721 0.1721 0.4077
0.8279 0.8279 0.5923
0.2874 0.7126 0.0000
0.7126 0.2874 0.0000
0.4811 0.4811 0.3560
0.5189 0.5189 0.6440
0.1649 0.6210 0.2981
0.3718 0.3718 0.7543
0.3790 0.8351 0.7019
0.6210 0.1649 0.2981
0.6282 0.6282 0.2457
0.8351 0.3790 0.7019
```

Peak list (8 most intense, 10° ≤ 2θ ≤ 90°, by angle)
2θ = 11.2°, intensity 83; 2θ = 14.0°, intensity 100; 2θ = 14.7°, intensity 39; 2θ = 27.1°, intensity 50; 2θ = 30.0°, intensity 47; 2θ = 30.8°, intensity 82; 2θ = 36.1°, intensity 43; 2θ = 52.2°, intensity 31

No. 2
# KNaPSe4
Calculated powder XRD pattern, Cu Ka. Input: a crystal structure in Alexandria, relaxed with GGA-PBE.

```
KNaPSe4
1.0
7.5767 0.0000 0.0000
0.0000 6.0671 0.0000
-2.2624 0.0000 9.2535
K Na P Se
2 2 2 8
Direct
0.2386 0.2500 0.0413
0.7614 0.7500 0.9587
0.2676 0.2500 0.5625
0.7324 0.7500 0.4375
0.2329 0.7500 0.3240
0.7671 0.2500 0.6760
0.0083 0.0069 0.2713
0.0083 0.4931 0.2713
0.3715 0.7500 0.5511
0.4099 0.7500 0.1706
0.5901 0.2500 0.8294
0.6285 0.2500 0.4489
0.9917 0.5069 0.7287
0.9917 0.9931 0.7287
```

Peak list (8 most intense, 10° ≤ 2θ ≤ 90°, by angle)
2θ = 22.5°, intensity 39; 2θ = 25.0°, intensity 68; 2θ = 27.1°, intensity 100; 2θ = 28.4°, intensity 36; 2θ = 31.9°, intensity 94; 2θ = 35.4°, intensity 40; 2θ = 35.9°, intensity 46; 2θ = 38.5°, intensity 35

No. 3
# K2Na3SiP3
Calculated powder XRD pattern, Cu Ka. Input: a crystal structure in Alexandria, relaxed with GGA-PBE.

```
K2Na3SiP3
1.0
14.6938 0.0000 0.0000
0.0000 4.7808 0.0000
0.0000 0.0000 13.2516
K Na Si P
8 12 4 12
Direct
0.0075 0.2500 0.1414
0.1989 0.7500 0.0576
0.3011 0.2500 0.5576
0.4925 0.7500 0.6414
0.5075 0.2500 0.3586
0.6989 0.7500 0.4424
0.8011 0.2500 0.9424
0.9925 0.7500 0.8586
0.0580 0.2500 0.4282
0.0870 0.2500 0.6789
0.2441 0.7500 0.7653
0.2559 0.2500 0.2653
0.4130 0.7500 0.1789
0.4420 0.7500 0.9282
0.5580 0.2500 0.0718
0.5870 0.2500 0.8211
0.7441 0.7500 0.7347
0.7559 0.2500 0.2347
0.9130 0.7500 0.3211
0.9420 0.7500 0.5718
0.2017 0.7500 0.4134
0.2983 0.2500 0.9134
0.7017 0.7500 0.0866
0.7983 0.2500 0.5866
0.1102 0.7500 0.2835
0.1418 0.7500 0.5658
0.1504 0.2500 0.8911
0.3496 0.7500 0.3911
0.3582 0.2500 0.0658
0.3898 0.2500 0.7835
0.6102 0.7500 0.2165
0.6418 0.7500 0.9342
0.6504 0.2500 0.6089
0.8496 0.7500 0.1089
0.8582 0.2500 0.4342
0.8898 0.2500 0.7165
```

Peak list (8 most intense, 10° ≤ 2θ ≤ 90°, by angle)
2θ = 29.4°, intensity 40; 2θ = 30.1°, intensity 100; 2θ = 30.7°, intensity 35; 2θ = 31.4°, intensity 51; 2θ = 33.5°, intensity 59; 2θ = 37.6°, intensity 67; 2θ = 42.2°, intensity 28; 2θ = 57.8°, intensity 21

No. 4
# K3Na2SnP3
Calculated powder XRD pattern, Cu Ka. Input: a crystal structure in Alexandria, relaxed with GGA-PBE.

```
K3Na2SnP3
1.0
10.0337 -3.3508 0.0000
10.0337 3.3508 0.0000
0.0000 0.0000 15.1227
K Na Sn P
12 8 4 12
Direct
0.0634 0.6026 0.1769
0.1026 0.5634 0.6769
0.2407 0.7593 0.8199
0.2593 0.7407 0.3199
0.3974 0.9366 0.1769
0.4366 0.8974 0.6769
0.5634 0.1026 0.3231
0.6026 0.0634 0.8231
0.7407 0.2593 0.6801
0.7593 0.2407 0.1801
0.8974 0.4366 0.3231
0.9366 0.3974 0.8231
0.0808 0.0808 0.0000
0.2447 0.2447 0.0000
0.2553 0.2553 0.5000
0.4192 0.4192 0.5000
0.5808 0.5808 0.5000
0.7447 0.7447 0.5000
0.7553 0.7553 0.0000
0.9192 0.9192 0.0000
0.0883 0.0883 0.5000
0.4117 0.4117 0.0000
0.5883 0.5883 0.0000
0.9117 0.9117 0.5000
0.0618 0.6223 0.3962
0.1223 0.5618 0.8962
0.2033 0.7967 0.5928
0.2967 0.7033 0.0928
0.3777 0.9382 0.3962
0.4382 0.8777 0.8962
0.5618 0.1223 0.1038
0.6223 0.0618 0.6038
0.7033 0.2967 0.9072
0.7967 0.2033 0.4072
0.8777 0.4382 0.1038
0.9382 0.3777 0.6038
```

Peak list (8 most intense, 10° ≤ 2θ ≤ 90°, by angle)
2θ = 11.7°, intensity 65; 2θ = 15.1°, intensity 81; 2θ = 22.5°, intensity 28; 2θ = 26.6°, intensity 22; 2θ = 29.2°, intensity 100; 2θ = 30.3°, intensity 57; 2θ = 35.8°, intensity 86; 2θ = 38.0°, intensity 68

No. 5
# KNa4Pb
Calculated powder XRD pattern, Cu Ka. Input: a crystal structure in Alexandria, relaxed with GGA-PBE.

```
KNa4Pb
1.0
-4.0187 4.0187 7.6855
4.0187 -4.0187 7.6855
4.0187 4.0187 -7.6855
K Na Pb
2 8 2
Direct
0.0000 0.0000 0.0000
0.5000 0.5000 0.0000
0.0017 0.5017 0.8293
0.1724 0.0017 0.5000
0.3276 0.8276 0.8293
0.4983 0.3276 0.5000
0.5017 0.6724 0.5000
0.6724 0.1724 0.1707
0.8276 0.9983 0.5000
0.9983 0.4983 0.1707
0.2500 0.2500 0.0000
0.7500 0.7500 0.0000
```

Peak list (8 most intense, 10° ≤ 2θ ≤ 90°, by angle)
2θ = 11.5°, intensity 84; 2θ = 15.6°, intensity 100; 2θ = 19.4°, intensity 55; 2θ = 22.1°, intensity 37; 2θ = 28.0°, intensity 71; 2θ = 32.2°, intensity 55; 2θ = 35.3°, intensity 50; 2θ = 37.3°, intensity 35

No. 6
# K2Na4Pb
Calculated powder XRD pattern, Cu Ka. Input: a crystal structure in Alexandria, relaxed with GGA-PBE.

```
K2Na4Pb
1.0
3.4845 -6.1357 0.0000
3.4845 6.1357 0.0000
-3.4265 0.0000 13.4464
K Na Pb
4 8 2
Direct
0.0322 0.9678 0.7500
0.2814 0.7186 0.2500
0.7186 0.2814 0.7500
0.9678 0.0322 0.2500
0.2424 0.7358 0.9564
0.2642 0.7576 0.5436
0.2779 0.2821 0.5419
0.2821 0.2779 0.0419
0.7179 0.7221 0.9581
0.7221 0.7179 0.4581
0.7358 0.2424 0.4564
0.7576 0.2642 0.0436
0.3778 0.6222 0.7500
0.6222 0.3778 0.2500
```

Peak list (8 most intense, 10° ≤ 2θ ≤ 90°, by angle)
2θ = 13.2°, intensity 95; 2θ = 15.0°, intensity 100; 2θ = 15.9°, intensity 88; 2θ = 17.7°, intensity 76; 2θ = 25.5°, intensity 79; 2θ = 26.4°, intensity 80; 2θ = 27.2°, intensity 59; 2θ = 34.5°, intensity 55

No. 7
# K12Na3Pb
Calculated powder XRD pattern, Cu Ka. Input: a crystal structure in Alexandria, relaxed with GGA-PBE.

```
K12Na3Pb
1.0
6.1836 0.0000 0.0000
0.0000 6.1836 0.0000
0.0000 0.0000 24.2073
K Na Pb
12 3 1
Direct
0.0000 0.0000 0.0000
0.0000 0.0000 0.2372
0.0000 0.0000 0.5000
0.0000 0.0000 0.7628
0.0000 0.5000 0.1016
0.0000 0.5000 0.3686
0.0000 0.5000 0.6314
0.0000 0.5000 0.8984
0.5000 0.0000 0.1016
0.5000 0.0000 0.3686
0.5000 0.0000 0.6314
0.5000 0.0000 0.8984
0.5000 0.5000 0.2389
0.5000 0.5000 0.5000
0.5000 0.5000 0.7611
0.5000 0.5000 0.0000
```

Peak list (8 most intense, 10° ≤ 2θ ≤ 90°, by angle)
2θ = 11.0°, intensity 14; 2θ = 14.8°, intensity 18; 2θ = 16.1°, intensity 15; 2θ = 25.1°, intensity 100; 2θ = 28.9°, intensity 38; 2θ = 29.5°, intensity 17; 2θ = 41.8°, intensity 22; 2θ = 49.0°, intensity 29

No. 8
# KNa7Pb2
Calculated powder XRD pattern, Cu Ka. Input: a crystal structure in Alexandria, relaxed with GGA-PBE.

```
KNa7Pb2
1.0
5.7150 -6.4973 0.0000
5.7150 6.4973 0.0000
0.0000 0.0000 5.9187
K Na Pb
1 7 2
Direct
0.0000 0.0000 0.0000
0.1107 0.3788 0.5000
0.3157 0.6843 0.0000
0.3788 0.1107 0.5000
0.5000 0.5000 0.5000
0.6212 0.8893 0.5000
0.6843 0.3157 0.0000
0.8893 0.6212 0.5000
0.2452 0.7548 0.5000
0.7548 0.2452 0.5000
```

Peak list (8 most intense, 10° ≤ 2θ ≤ 90°, by angle)
2θ = 13.6°, intensity 93; 2θ = 15.0°, intensity 100; 2θ = 15.5°, intensity 87; 2θ = 20.3°, intensity 84; 2θ = 20.7°, intensity 65; 2θ = 25.6°, intensity 86; 2θ = 31.7°, intensity 56; 2θ = 35.2°, intensity 64

No. 9
# K2Na4Pb
Calculated powder XRD pattern, Cu Ka. Input: a crystal structure in Alexandria, relaxed with GGA-PBE.

```
K2Na4Pb
1.0
8.6685 0.0000 0.0000
0.0000 6.8639 0.0000
-0.8762 0.0000 10.0386
K Na Pb
4 8 2
Direct
0.0706 0.2500 0.3985
0.1276 0.7500 0.9492
0.8724 0.2500 0.0508
0.9294 0.7500 0.6015
0.2474 0.7500 0.3164
0.3686 0.2500 0.0228
0.3926 0.9996 0.6626
0.3926 0.5004 0.6626
0.6074 0.0004 0.3374
0.6074 0.4996 0.3374
0.6314 0.7500 0.9772
0.7526 0.2500 0.6836
0.1166 0.2500 0.7674
0.8834 0.7500 0.2326
```

Peak list (8 most intense, 10° ≤ 2θ ≤ 90°, by angle)
2θ = 10.2°, intensity 100; 2θ = 14.1°, intensity 43; 2θ = 15.6°, intensity 98; 2θ = 26.0°, intensity 49; 2θ = 28.0°, intensity 44; 2θ = 29.7°, intensity 56; 2θ = 30.7°, intensity 40; 2θ = 31.3°, intensity 50

No. 10
# K2Na5Pb
Calculated powder XRD pattern, Cu Ka. Input: a crystal structure in Alexandria, relaxed with GGA-PBE.

```
K2Na5Pb
1.0
6.4369 -3.9414 0.0000
6.4369 3.9414 0.0000
-4.8019 0.0000 6.2511
K Na Pb
2 5 1
Direct
0.0000 0.0000 0.0000
0.5000 0.5000 0.4987
0.4384 0.4384 0.9377
0.5143 0.9747 0.0134
0.5157 0.9752 0.4744
0.9747 0.5143 0.0134
0.9752 0.5157 0.4744
0.0721 0.0721 0.5713
```

Peak list (8 most intense, 10° ≤ 2θ ≤ 90°, by angle)
2θ = 14.2°, intensity 100; 2θ = 15.9°, intensity 24; 2θ = 22.6°, intensity 26; 2θ = 23.6°, intensity 23; 2θ = 26.8°, intensity 55; 2θ = 28.6°, intensity 91; 2θ = 32.1°, intensity 37; 2θ = 36.7°, intensity 21

No. 11
# KNaPb3
Calculated powder XRD pattern, Cu Ka. Input: a crystal structure in Alexandria, relaxed with GGA-PBE.

```
KNaPb3
1.0
14.7460 0.0000 0.0000
0.0000 6.7826 0.0000
0.0000 0.0000 6.8700
K Na Pb
4 4 12
Direct
0.2500 0.0000 0.0747
0.2500 0.5000 0.4253
0.7500 0.0000 0.9253
0.7500 0.5000 0.5747
0.0419 0.2500 0.2500
0.4581 0.7500 0.2500
0.5419 0.2500 0.7500
0.9581 0.7500 0.7500
0.0125 0.7500 0.2500
0.1428 0.5540 0.9026
0.1428 0.9460 0.5974
0.3572 0.0540 0.5974
0.3572 0.4460 0.9026
0.4875 0.2500 0.2500
0.5125 0.7500 0.7500
0.6428 0.5540 0.0974
0.6428 0.9460 0.4026
0.8572 0.0540 0.4026
0.8572 0.4460 0.0974
0.9875 0.2500 0.7500
```

Peak list (8 most intense, 10° ≤ 2θ ≤ 90°, by angle)
2θ = 18.4°, intensity 100; 2θ = 25.9°, intensity 76; 2θ = 29.0°, intensity 50; 2θ = 29.8°, intensity 84; 2θ = 30.5°, intensity 81; 2θ = 35.7°, intensity 46; 2θ = 36.0°, intensity 53; 2θ = 42.5°, intensity 64